Record 1
Diffraction record for Y4Ho19Tm6. The powder X-ray diffraction pattern is theoretical, not measured: it uses a cell relaxed with PBE and copper Kα.
No peak broadening, texture or thermal motion is included.

Cell and atoms:
Lattice parameters (Å, degrees): 12.4039 12.4039 12.4039 90.00 90.00 90.00
Space group I23 (No. 197)
One atom of each set of equivalent atoms:
Y: 0.1781 0.1781 0.1781 x8
Ho: 0.0000 0.0000 0.0000 x2
Ho: 0.0000 0.0000 0.2643 x12
Ho: 0.0637 0.2755 0.7368 x24
Tm: 0.0000 0.1285 0.5000 x12

Most intense lines, 2θ from 10° to 80°, by angle:
2θ (°), Rel. int.
26.89, 74
28.79, 85
30.58, 100
35.45, 59
36.95, 97
60.65, 39



Record 2
Diffraction record for Y19Ho6Tm4. The powder X-ray diffraction pattern is theoretical, not measured: it uses a cell relaxed with PBE and copper Kα.
No peak broadening, texture or thermal motion is included.

Cell and atoms:
Lattice parameters (Å, degrees): 12.4431 12.4431 12.4431 90.00 90.00 90.00
Space group I23 (No. 197)
One atom of each set of equivalent atoms:
Y: 0.0000 0.0000 0.0000 x2
Y: 0.0000 0.0000 0.2609 x12
Y: 0.0626 0.2790 0.7358 x24
Ho: 0.0000 0.1251 0.5000 x12
Tm: 0.1784 0.1784 0.1784 x8

Most intense lines, 2θ from 10° to 80°, by angle:
2θ (°), Rel. int.
22.60, 28
26.81, 52
28.70, 37
30.48, 100
35.34, 39
36.83, 78



Record 3
Diffraction record for YHo2Tm5. The powder X-ray diffraction pattern is theoretical, not measured: it uses a cell relaxed with PBE and copper Kα.
No peak broadening, texture or thermal motion is included.

Cell and atoms:
Lattice parameters (Å, degrees): 7.0121 14.0246 4.9514 90.00 90.00 90.00
Space group Pbam (No. 55)
One atom of each set of equivalent atoms:
Y: 0.0000 0.0000 0.0000 x2
Ho: 0.2492 0.3745 0.5000 x4
Tm: 0.0002 0.2508 0.0000 x4
Tm: 0.0000 0.5000 0.0000 x2
Tm: 0.2494 0.6256 0.5000 x4

Most intense lines, 2θ from 10° to 80°, by angle:
2θ (°), Rel. int.
31.26, 100
36.25, 51
52.20, 36
62.12, 42
65.21, 12
76.91, 4